[1]
# Be2Sn2Cl7
Theoretical powder XRD pattern, Cu Kα (weighted mean of Kα1 and Kα2). Input: a GGA-PBE-relaxed structure.
No peak broadening, texture or thermal motion is included.

Principal peaks in the range 2θ from 15° to 90°, low angle first:
- 2θ = 15.1°, d = 5.859 Å, I 19
- 2θ = 15.6°, d = 5.691 Å, I 73
- 2θ = 20.3°, d = 4.366 Å, I 100
- 2θ = 26.4°, d = 3.377 Å, I 21
- 2θ = 28.4°, d = 3.139 Å, I 25
- 2θ = 31.8°, d = 2.818 Å, I 42
- 2θ = 33.5°, d = 2.675 Å, I 18
- 2θ = 34.3°, d = 2.618 Å, I 37
- 2θ = 37.0°, d = 2.432 Å, I 34
- 2θ = 40.9°, d = 2.205 Å, I 20

Crystal structure
abc: 7.498 7.498 13.790
angles: 100.96 100.96 102.79
Sites, in units of the cell vectors:
Be1 0.158 0.187 0.232
Be2 0.187 0.158 0.732
Be3 0.813 0.842 0.268
Be4 0.842 0.813 0.768
Sn1 0.123 0.650 0.454
Sn2 0.350 0.877 0.046
Sn3 0.650 0.123 0.954
Sn4 0.877 0.350 0.546
Cl1 0.044 0.745 0.856
Cl2 0.086 0.914 0.250
Cl3 0.202 0.391 0.670
Cl4 0.255 0.956 0.644
Cl5 0.262 0.365 0.373
Cl6 0.365 0.262 0.873
Cl7 0.391 0.202 0.170
Cl8 0.609 0.798 0.830
Cl9 0.635 0.738 0.127
Cl10 0.738 0.635 0.627
Cl11 0.745 0.044 0.356
Cl12 0.798 0.609 0.330
Cl13 0.914 0.086 0.750
Cl14 0.956 0.255 0.144

***

[2]
# TbBeCl5
Theoretical powder XRD pattern, Cu Kα (weighted mean of Kα1 and Kα2). Input: a GGA-PBE-relaxed structure.
No peak broadening, texture or thermal motion is included.

Principal peaks in the range 2θ from 15° to 90°, low angle first:
- 2θ = 18.9°, d = 4.690 Å, I 42
- 2θ = 20.1°, d = 4.413 Å, I 100
- 2θ = 20.5°, d = 4.340 Å, I 19
- 2θ = 20.9°, d = 4.248 Å, I 56
- 2θ = 30.4°, d = 2.936 Å, I 29
- 2θ = 33.0°, d = 2.711 Å, I 41
- 2θ = 33.8°, d = 2.651 Å, I 42
- 2θ = 40.9°, d = 2.206 Å, I 27
- 2θ = 43.1°, d = 2.099 Å, I 19
- 2θ = 44.1°, d = 2.055 Å, I 19

Crystal structure
abc: 6.829 6.829 9.791
angles: 110.66 110.66 86.74
Sites, in units of the cell vectors:
Tb1 0.000 0.500 0.000
Tb2 0.500 0.000 0.500
Be1 0.137 0.863 0.750
Be2 0.863 0.137 0.250
Cl1 0.139 0.182 0.432
Cl2 0.167 0.619 0.830
Cl3 0.182 0.139 0.932
Cl4 0.346 0.654 0.250
Cl5 0.381 0.833 0.670
Cl6 0.619 0.167 0.330
Cl7 0.654 0.346 0.750
Cl8 0.818 0.861 0.068
Cl9 0.833 0.381 0.170
Cl10 0.861 0.818 0.568

***

[3]
# Be2TcCl
Theoretical powder XRD pattern, Cu Kα (weighted mean of Kα1 and Kα2). Input: a GGA-PBE-relaxed structure.
No peak broadening, texture or thermal motion is included.

Principal peaks in the range 2θ from 15° to 90°, low angle first:
- 2θ = 24.6°, d = 3.614 Å, I 100
- 2θ = 28.3°, d = 3.150 Å, I 74
- 2θ = 33.1°, d = 2.710 Å, I 88
- 2θ = 37.6°, d = 2.392 Å, I 31
- 2θ = 38.2°, d = 2.358 Å, I 30
- 2θ = 44.0°, d = 2.060 Å, I 44
- 2θ = 44.2°, d = 2.049 Å, I 43
- 2θ = 49.0°, d = 1.859 Å, I 34
- 2θ = 57.3°, d = 1.609 Å, I 19
- 2θ = 58.6°, d = 1.576 Å, I 20

Crystal structure
abc: 3.151 2.924 7.229
angles: 90.00 90.81 90.00
Sites, in units of the cell vectors:
Be1 0.000 0.000 0.000
Be2 0.494 0.500 0.815
Tc1 0.991 0.000 0.694
Cl1 0.004 0.500 0.192

***

[4]
# BeTc2Cl
Theoretical powder XRD pattern, Cu Kα (weighted mean of Kα1 and Kα2). Input: a GGA-PBE-relaxed structure.
No peak broadening, texture or thermal motion is included.

Principal peaks in the range 2θ from 15° to 90°, low angle first:
- 2θ = 26.4°, d = 3.374 Å, I 85
- 2θ = 29.5°, d = 3.025 Å, I 53
- 2θ = 33.5°, d = 2.674 Å, I 42
- 2θ = 39.0°, d = 2.311 Å, I 100
- 2θ = 39.7°, d = 2.269 Å, I 93
- 2θ = 40.5°, d = 2.230 Å, I 24
- 2θ = 43.8°, d = 2.066 Å, I 38
- 2θ = 49.0°, d = 1.860 Å, I 22
- 2θ = 50.9°, d = 1.793 Å, I 27
- 2θ = 51.5°, d = 1.774 Å, I 27

Crystal structure
abc: 3.698 3.698 6.922
angles: 113.99 113.99 48.06
Sites, in units of the cell vectors:
Be1 0.000 0.000 0.000
Tc1 0.234 0.234 0.840
Tc2 0.766 0.766 0.160
Cl1 0.500 0.500 0.500

***

[5]
# Be2Te7Cl6
Theoretical powder XRD pattern, Cu Kα (weighted mean of Kα1 and Kα2). Input: a GGA-PBE-relaxed structure.
No peak broadening, texture or thermal motion is included.

Principal peaks in the range 2θ from 15° to 90°, low angle first:
- 2θ = 17.1°, d = 5.184 Å, I 67
- 2θ = 23.5°, d = 3.781 Å, I 51
- 2θ = 28.0°, d = 3.189 Å, I 100
- 2θ = 30.5°, d = 2.930 Å, I 30
- 2θ = 31.8°, d = 2.814 Å, I 71
- 2θ = 37.3°, d = 2.413 Å, I 22
- 2θ = 39.0°, d = 2.311 Å, I 22
- 2θ = 40.9°, d = 2.208 Å, I 41
- 2θ = 42.9°, d = 2.108 Å, I 34
- 2θ = 50.3°, d = 1.815 Å, I 22

Crystal structure
abc: 5.529 10.367 16.853
angles: 90.00 90.00 90.00
Sites, in units of the cell vectors:
Be1 0.000 0.000 0.081
Be2 0.000 0.000 0.919
Be3 0.500 0.500 0.419
Be4 0.500 0.500 0.581
Te1 0.000 0.500 0.000
Te2 0.000 0.500 0.239
Te3 0.000 0.500 0.761
Te4 0.171 0.104 0.372
Te5 0.171 0.104 0.628
Te6 0.329 0.604 0.128
Te7 0.329 0.604 0.872
Te8 0.500 0.000 0.261
Te9 0.500 0.000 0.500
Te10 0.500 0.000 0.739
Te11 0.671 0.396 0.128
Te12 0.671 0.396 0.872
Te13 0.829 0.896 0.372
Te14 0.829 0.896 0.628
Cl1 0.158 0.137 0.146
Cl2 0.158 0.137 0.854
Cl3 0.231 0.913 0.000
Cl4 0.269 0.413 0.500
Cl5 0.342 0.637 0.354
Cl6 0.342 0.637 0.646
Cl7 0.658 0.363 0.354
Cl8 0.658 0.363 0.646
Cl9 0.731 0.587 0.500
Cl10 0.769 0.087 0.000
Cl11 0.842 0.863 0.146
Cl12 0.842 0.863 0.854

***

[6]
# ThBeCl
Theoretical powder XRD pattern, Cu Kα (weighted mean of Kα1 and Kα2). Input: a GGA-PBE-relaxed structure.
No peak broadening, texture or thermal motion is included.

Principal peaks in the range 2θ from 15° to 90°, low angle first:
- 2θ = 22.0°, d = 4.032 Å, I 61
- 2θ = 22.9°, d = 3.884 Å, I 97
- 2θ = 25.5°, d = 3.497 Å, I 100
- 2θ = 32.0°, d = 2.796 Å, I 47
- 2θ = 32.6°, d = 2.745 Å, I 87
- 2θ = 35.8°, d = 2.511 Å, I 86
- 2θ = 36.3°, d = 2.473 Å, I 97
- 2θ = 51.0°, d = 1.790 Å, I 36
- 2θ = 52.7°, d = 1.736 Å, I 53
- 2θ = 60.3°, d = 1.535 Å, I 38

Crystal structure
abc: 8.308 8.308 3.880
angles: 90.00 90.00 152.13
Sites, in units of the cell vectors:
Th1 0.099 0.901 0.750
Th2 0.901 0.099 0.250
Be1 0.480 0.520 0.750
Be2 0.520 0.480 0.250
Cl1 0.311 0.689 0.750
Cl2 0.689 0.311 0.250